1.
For Ca4ZrTi3Ge4O20, a crystal structure in the Materials Project, relaxed with GGA-PBE gives the computed powder diffractogram in this record (CuKα).
Neutral-atom scattering factors, no anomalous dispersion.

Cell and atoms:
```
32
Lattice="6.8327 0.0000 0.0000 0.4150 8.0612 0.0000 0.4557 2.9999 7.4895" Properties=species:S:1:pos:R:3 pbc="T T T"
Ca 0.9195 1.7346 0.3950
Ca 2.8804 3.7887 3.4131
Ca 4.8230 7.2723 4.0763
Ca 6.7839 9.3265 7.0944
Zr 3.6239 4.0306 0.0000
Ti 0.2278 1.4999 3.7447
Ti 2.1229 6.8130 1.9022
Ti 5.5805 4.2481 5.5873
Ge 1.3456 6.5588 5.1798
Ge 3.3168 10.0623 6.0214
Ge 4.3866 0.9988 1.4681
Ge 6.3578 4.5023 2.3096
O 0.5976 4.9745 5.4801
O 0.6293 3.1398 2.5834
O 1.3796 8.5186 2.3296
O 2.2065 10.2792 7.3992
O 2.1163 6.8348 6.7484
O 2.4896 9.7550 4.4843
O 2.5103 6.3495 3.8600
O 2.8271 5.1113 1.5458
O 3.2232 2.3134 1.2263
O 3.7120 3.5441 5.7102
O 3.9914 7.5170 1.7793
O 4.4802 8.7476 6.2632
O 4.8763 5.9497 5.9437
O 5.1931 4.7116 3.6295
O 5.2138 1.3060 3.0052
O 5.5871 4.2262 0.7411
O 5.4969 0.7818 0.0903
O 6.3238 2.5424 5.1599
O 7.0741 7.9213 4.9061
O 7.1058 6.0865 2.0093
```

Peak list (10 most intense, 10 to 90 degrees two-theta, sorted by position)
index  2θ/deg  I (rel.)
1 0 -1  17.9  23
-1 1 2  26.5  100
2 1 1  28.6  89
1 -1 2  33.0  48
1 2 -1  33.1  45
0 3 1  33.4  61
3 0 -1  42.0  21
-2 3 3  50.4  19
1 1 -4  56.9  23
-1 5 2  59.7  25

***

2.
For PdSe2, a crystal structure in the Materials Project, relaxed with GGA-PBE gives the computed powder diffractogram in this record (CuKα).
Neutral-atom scattering factors, no anomalous dispersion.

Cell and atoms:
```
6
Lattice="20.1917 0.0000 0.0000 0.0000 5.7512 0.0000 -0.0153 0.0000 5.8972" Properties=species:S:1:pos:R:3 pbc="T T T"
Pd 0.0000 0.0000 0.0000
Pd -0.0077 2.8756 2.9486
Se 0.7472 0.6347 3.6450
Se 0.7549 2.2410 0.6964
Se 19.4215 3.5103 5.2008
Se 19.4292 5.1166 2.2522
```

Peak list (10 most intense, 10 to 90 degrees two-theta, sorted by position)
index  2θ/deg  I (rel.)
3 0 0  13.2  100
4 0 0  17.6  40
5 0 0  22.0  18
5 1 1  31.0  13
6 1 1  34.5  18
4 0 -2  35.2  10
2 2 1  35.9  13
7 1 1  38.1  11
9 1 1  46.1  13
3 1 3  50.9  15